No. 1
# CdCoSnF6
Simulated powder X-ray diffraction pattern, Cu Ka. Input: a GGA+U-relaxed structure.

Peak list (12 most intense, 15 to 90 degrees two-theta, low angle first)
2θ 25.32, d = 3.518 Å, intensity 100; 2θ 31.33, d = 2.855 Å, intensity 38; 2θ 36.22, d = 2.480 Å, intensity 10; 2θ 40.70, d = 2.217 Å, intensity 28; 2θ 48.36, d = 1.882 Å, intensity 47; 2θ 52.25, d = 1.751 Å, intensity 27; 2θ 55.78, d = 1.648 Å, intensity 19; 2θ 58.36, d = 1.581 Å, intensity 9; 2θ 67.75, d = 1.383 Å, intensity 7; 2θ 71.30, d = 1.323 Å, intensity 11; 2θ 76.54, d = 1.245 Å, intensity 9; 2θ 76.89, d = 1.240 Å, intensity 11

Crystal structure
Cell: 5.709 5.709 10.013 Å, 90.00 90.00 120.00°
Element x y z (fractional)
Cd (0.333, 0.667, 0.250)
Cd (0.667, 0.333, 0.750)
Co (0.333, 0.667, 0.750)
Co (0.667, 0.333, 0.250)
Sn (0.000, 0.000, 0.000)
Sn (0.000, 0.000, 0.500)
F (0.027, 0.364, 0.638)
F (0.027, 0.663, 0.862)
F (0.337, 0.364, 0.862)
F (0.337, 0.973, 0.638)
F (0.364, 0.027, 0.138)
F (0.364, 0.337, 0.362)
F (0.636, 0.663, 0.638)
F (0.636, 0.973, 0.862)
F (0.663, 0.027, 0.362)
F (0.663, 0.636, 0.138)
F (0.973, 0.337, 0.138)
F (0.973, 0.636, 0.362)

No. 2
# Mn3Zn2O8
Simulated powder X-ray diffraction pattern, Cu Ka. Input: a GGA+U-relaxed structure.

Peak list (12 most intense, 15 to 90 degrees two-theta, low angle first)
2θ 23.04, d = 3.861 Å, intensity 60; 2θ 26.81, d = 3.325 Å, intensity 69; 2θ 28.43, d = 3.139 Å, intensity 85; 2θ 31.82, d = 2.812 Å, intensity 78; 2θ 33.77, d = 2.654 Å, intensity 100; 2θ 35.98, d = 2.496 Å, intensity 84; 2θ 36.16, d = 2.484 Å, intensity 62; 2θ 36.53, d = 2.460 Å, intensity 50; 2θ 38.87, d = 2.317 Å, intensity 59; 2θ 49.77, d = 1.832 Å, intensity 61; 2θ 55.65, d = 1.652 Å, intensity 67; 2θ 64.75, d = 1.440 Å, intensity 46

Crystal structure
Cell: 5.717 5.717 5.025 Å, 100.13 100.13 60.89°
Element x y z (fractional)
Mn (0.000, 0.000, 0.000)
Mn (0.255, 0.745, 0.500)
Mn (0.745, 0.255, 0.500)
Zn (0.294, 0.294, 0.902)
Zn (0.706, 0.706, 0.098)
O (0.100, 0.100, 0.369)
O (0.110, 0.658, 0.135)
O (0.342, 0.890, 0.865)
O (0.394, 0.394, 0.599)
O (0.606, 0.606, 0.401)
O (0.658, 0.110, 0.135)
O (0.890, 0.342, 0.865)
O (0.900, 0.900, 0.631)